(1)
The following is a theoretical powder X-ray diffraction pattern of ErTmTl4. It was derived from a crystal structure in OQMD, relaxed with GGA-PBE, using Cu Kα.
Peak positions follow from Bragg's law for the DFT cell and can differ from measured ones.

Atomic structure:
```
6
Lattice="4.6510 0.0000 0.0000 0.0000 2.3355 7.2615 0.0000 -2.3355 7.2615" Properties=species:S:1:pos:R:3 pbc="T T T"
Er 0.0000 0.0000 0.0000
Tm 0.0000 0.0000 10.0122
Tl 0.0000 0.0000 5.0053
Tl 2.3255 0.0000 2.4449
Tl 2.3255 0.0000 7.5677
Tl 2.3255 0.0000 12.2673
```

Most intense lines, 10° ≤ 2θ ≤ 90°, in order of falling intensity:
- 2θ = 32.88°, rel. 100
- 2θ = 38.55°, rel. 17
- 2θ = 37.14°, rel. 17
- 2θ = 38.72°, rel. 17
- 2θ = 66.17°, rel. 14
- 2θ = 66.41°, rel. 14

---

(2)
The following is a theoretical powder X-ray diffraction pattern of Dy4Ni2SnGe4. It was derived from a crystal structure in OQMD, relaxed with GGA-PBE, using Cu Kα.
Peak positions follow from Bragg's law for the DFT cell and can differ from measured ones.

Atomic structure:
```
11
Lattice="7.7460 -2.1321 0.0000 7.7460 2.1321 0.0000 -2.2801 0.0000 6.6943" Properties=species:S:1:pos:R:3 pbc="T T T"
Dy 0.5206 0.0000 2.5940
Dy 0.2596 0.0000 6.2847
Dy 12.9522 0.0000 0.4096
Dy 12.6912 0.0000 4.1003
Ni 3.5602 0.0000 2.3961
Ni 9.6516 0.0000 4.2982
Sn 7.7460 0.0000 0.0000
Ge 2.8937 0.0000 4.8565
Ge 5.9377 0.0000 2.2788
Ge 7.2741 0.0000 4.4155
Ge 10.3181 0.0000 1.8379
```

Most intense lines, 10° ≤ 2θ ≤ 90°, in order of falling intensity:
- 2θ = 34.35°, rel. 100
- 2θ = 33.39°, rel. 77
- 2θ = 42.39°, rel. 52
- 2θ = 36.16°, rel. 47
- 2θ = 37.21°, rel. 33
- 2θ = 36.01°, rel. 31